K2Ag2O3: calculated powder XRD pattern (λ = 1.5418 Å (Cu Kα)), based on a crystal structure in Alexandria, relaxed with PBE.
Intensities are scaled so that the largest is 1000.

Structure:
```
data_K2Ag2O3
_chemical_formula_sum 'K4 Ag4 O6'
_cell_length_a 12.502
_cell_length_b 3.864
_cell_length_c 5.771
_cell_angle_alpha 90.00
_cell_angle_beta 101.19
_cell_angle_gamma 90.00
_symmetry_space_group_name_H-M 'C 1 2/m 1'
_symmetry_Int_Tables_number 12
loop_
_symmetry_equiv_pos_as_xyz
'x,y,z'
'-x,-y,-z'
'-x,y,-z'
'x,-y,z'
'x+1/2,y+1/2,z'
'-x+1/2,-y+1/2,-z'
'-x+1/2,y+1/2,-z'
'x+1/2,-y+1/2,z'
loop_
_atom_site_label
_atom_site_fract_x
_atom_site_fract_y
_atom_site_fract_z
K1 0.142 0.000 0.216
Ag1 0.091 0.500 0.724
O1 0.000 0.500 0.000
O2 0.144 0.000 0.694
```

Peak list (10 most intense, 2θ = 15–90°, by intensity)
two_theta	I (rel.)	hkl
37.60	1000	3 1 1
31.61	979	0 0 2
28.11	926	1 1 -1
19.16	892	2 0 -1
33.68	873	3 1 -1
24.15	782	1 1 0
29.12	767	4 0 0
38.91	611	4 0 -2
23.36	586	2 0 1
57.78	523	0 2 2

***

Nd2Sm4In: calculated powder XRD pattern (λ = 1.5418 Å (Cu Kα)), based on a crystal structure in Alexandria, relaxed with PBE.
Intensities are scaled so that the largest is 1000.

Structure:
```
data_Nd2Sm4In
_chemical_formula_sum 'Nd4 Sm8 In2'
_cell_length_a 6.600
_cell_length_b 6.391
_cell_length_c 10.935
_cell_angle_alpha 90.00
_cell_angle_beta 90.00
_cell_angle_gamma 90.00
_symmetry_space_group_name_H-M 'P m n a'
_symmetry_Int_Tables_number 53
loop_
_symmetry_equiv_pos_as_xyz
'x,y,z'
'-x,-y,-z'
'-x+1/2,-y,z+1/2'
'x+1/2,y,-z+1/2'
'x,-y,-z'
'-x,y,z'
'-x+1/2,y,-z+1/2'
'x+1/2,-y,z+1/2'
loop_
_atom_site_label
_atom_site_fract_x
_atom_site_fract_y
_atom_site_fract_z
Nd1 0.000 0.245 0.042
Sm1 0.000 0.069 0.347
Sm2 0.250 0.397 0.750
In1 0.000 0.500 0.500
```

Peak list (10 most intense, 2θ = 15–90°, by intensity)
two_theta	I (rel.)	hkl
31.64	1000	2 0 2
32.18	857	1 2 1
34.72	536	2 1 2
31.33	534	1 1 3
29.11	497	0 2 1
28.18	412	0 1 3
35.72	393	0 1 4
27.96	350	1 0 3
30.49	310	2 1 0
51.09	245	3 2 1

***

Ac3Te4: calculated powder XRD pattern (λ = 1.5418 Å (Cu Kα)), based on a crystal structure in Alexandria, relaxed with PBE.
Intensities are scaled so that the largest is 1000.

Structure:
```
data_Ac3Te4
_chemical_formula_sum 'Ac12 Te16'
_cell_length_a 9.979
_cell_length_b 9.979
_cell_length_c 9.979
_cell_angle_alpha 90.00
_cell_angle_beta 90.00
_cell_angle_gamma 90.00
_symmetry_space_group_name_H-M 'I -4 3 d'
_symmetry_Int_Tables_number 220
_symmetry_space_group_name_Hall 'I -4bd 2c 3'
loop_
_atom_site_label
_atom_site_fract_x
_atom_site_fract_y
_atom_site_fract_z
Ac1 0.000 0.250 0.875
Te1 0.076 0.424 0.576
```

Peak list (10 most intense, 2θ = 15–90°, by intensity)
two_theta	I (rel.)	hkl
28.28	1000	3 1 0
33.60	702	3 2 1
56.88	345	6 1 1
40.43	255	4 2 0
21.82	250	2 1 1
69.18	215	5 5 2
46.40	187	4 3 1
42.49	172	3 3 2
60.09	166	5 4 1
44.48	123	4 2 2